Diffraction record for YZrO3. The PXRD pattern is theoretical, not measured: it uses a GGA-PBE-relaxed structure and Cu Kα.
No peak broadening, texture or thermal motion is included.

Main lines, by angle (2θ from 5° to 70°):
| (hkl) | 2θ/deg | intensity |
| --- | --- | --- |
| 3 1 -2 | 20.79 | 5 |
| 0 2 2 | 29.60 | 100 |
| 4 0 0 | 34.12 | 9 |
| 4 0 -4 | 34.33 | 8 |
| 0 4 0 | 34.47 | 9 |
| 0 0 4 | 49.18 | 14 |
| 4 4 0 | 49.29 | 15 |
| 4 4 -4 | 49.45 | 15 |
| 4 2 2 | 58.32 | 10 |
| 4 2 -6 | 58.60 | 9 |
| 0 6 2 | 58.79 | 11 |
| 0 4 4 | 61.44 | 5 |

Structure:
```
data_YZrO3
_cell_length_a 14.8129
_cell_length_b 10.4062
_cell_length_c 10.4479
_cell_angle_alpha 90.00
_cell_angle_beta 134.80
_cell_angle_gamma 90.00
_space_group_name_H-M_alt 'C 1 2 1'
_space_group_IT_number 5
_space_group_name_Hall 'C 2y'
loop_
_atom_site_label
_atom_site_type_symbol
_atom_site_fract_x
_atom_site_fract_y
_atom_site_fract_z
Y1 Y 0.0000 0.0000 0.0000
Y2 Y 0.0000 0.4966 0.0000
Y3 Y 0.0206 0.7131 0.2826
Y4 Y 0.0216 0.2125 0.7577
Y5 Y 0.2312 0.9822 0.4607
Zr1 Zr 0.0000 0.4628 0.5000
Zr2 Zr 0.0000 0.9645 0.5000
Zr3 Zr 0.2293 0.4815 0.9995
Zr4 Zr 0.2364 0.7154 0.7606
Zr5 Zr 0.2395 0.2152 0.7182
O1 O 0.1131 0.8462 0.2172
O2 O 0.1163 0.3504 0.0069
O3 O 0.1180 0.3368 0.4820
O4 O 0.1230 0.1401 0.2402
O5 O 0.1249 0.5908 0.5342
O6 O 0.1280 0.6249 0.9993
O7 O 0.1290 0.0864 0.7224
O8 O 0.1287 0.8396 0.7825
O9 O 0.1439 0.5822 0.2751
O10 O 0.1492 0.8493 0.5422
O11 O 0.1495 0.0758 0.0098
O12 O 0.1621 0.3520 0.7830
```